K3Rb4AgF8: simulated X-ray diffraction stick pattern (CuKα), based on a DFT-relaxed cell (PBE, Alexandria).
Peak positions follow from Bragg's law for the DFT cell and can differ from measured ones.

Cell and atoms:
```
K3Rb4AgF8
1.0
6.7854 -3.8814 0.0000
6.7854 3.8814 0.0000
-4.4513 0.0000 6.3809
K Rb Ag F
3 4 1 8
Direct
0.0000 0.0000 0.0000 K
0.0000 0.5000 0.5000 K
0.5000 0.0000 0.5000 K
0.0000 0.0000 0.5000 Rb
0.0000 0.5000 0.0000 Rb
0.5000 0.0000 0.0000 Rb
0.5000 0.5000 0.5000 Rb
0.5000 0.5000 0.0000 Ag
0.2456 0.2456 0.2549 F
0.2500 0.2500 0.7404 F
0.2546 0.7367 0.7639 F
0.2633 0.7454 0.2361 F
0.7367 0.2546 0.7639 F
0.7454 0.2633 0.2361 F
0.7500 0.7500 0.2596 F
0.7544 0.7544 0.7451 F
```

Peak list (6 most intense, 2θ = 10–90°, sorted by position)
Position (°2θ)  intensity
28.01  97
32.17  52
32.59  100
46.45  69
46.81  17
55.37  23

=====

K4Be3F12: simulated X-ray diffraction stick pattern (CuKα), based on a DFT-relaxed cell (PBE, Alexandria).
Peak positions follow from Bragg's law for the DFT cell and can differ from measured ones.

Cell and atoms:
```
K4Be3F12
1.0
-4.4246 4.4246 4.4246
4.4246 -4.4246 4.4246
4.4246 4.4246 -4.4246
K Be F
4 3 12
Direct
0.0000 0.0000 0.5000 K
0.0000 0.5000 0.0000 K
0.5000 0.0000 0.0000 K
0.5000 0.5000 0.5000 K
0.0000 0.5000 0.5000 Be
0.5000 0.0000 0.5000 Be
0.5000 0.5000 0.0000 Be
0.1288 0.4996 0.3708 F
0.1288 0.7579 0.6292 F
0.2421 0.3708 0.8712 F
0.3708 0.1288 0.4996 F
0.3708 0.8712 0.2421 F
0.4996 0.3708 0.1288 F
0.5004 0.6292 0.8712 F
0.6292 0.1288 0.7579 F
0.6292 0.8712 0.5004 F
0.7579 0.6292 0.1288 F
0.8712 0.2421 0.3708 F
0.8712 0.5004 0.6292 F
```

Peak list (6 most intense, 2θ = 10–90°, sorted by position)
Position (°2θ)  intensity
14.15  40
28.53  100
31.98  70
45.86  76
50.53  40
52.75  35

=====

RbPaPtO5: simulated X-ray diffraction stick pattern (CuKα), based on a DFT-relaxed cell (PBE, Alexandria).
Peak positions follow from Bragg's law for the DFT cell and can differ from measured ones.

Cell and atoms:
```
RbPaPtO5
1.0
4.4072 -5.3681 0.0000
4.4072 5.3681 0.0000
-3.3023 0.0000 5.7279
Rb Pa Pt O
2 2 2 10
Direct
0.0899 0.9101 0.7500 Rb
0.9101 0.0899 0.2500 Rb
0.0000 0.5000 0.0000 Pa
0.5000 0.0000 0.5000 Pa
0.4443 0.5557 0.7500 Pt
0.5557 0.4443 0.2500 Pt
0.1675 0.5284 0.7693 O
0.1721 0.8279 0.2500 O
0.2506 0.3969 0.1860 O
0.3969 0.2506 0.6860 O
0.4716 0.8325 0.7307 O
0.5284 0.1675 0.2693 O
0.6031 0.7494 0.3140 O
0.7494 0.6031 0.8140 O
0.8279 0.1721 0.7500 O
0.8325 0.4716 0.2307 O
```

Peak list (6 most intense, 2θ = 10–90°, sorted by position)
Position (°2θ)  intensity
14.23  21
25.05  46
28.10  38
28.66  100
31.63  20
35.53  25

=====

PrHg2Pd2: simulated X-ray diffraction stick pattern (CuKα), based on a DFT-relaxed cell (PBE, Alexandria).
Peak positions follow from Bragg's law for the DFT cell and can differ from measured ones.

Cell and atoms:
```
PrHg2Pd2
1.0
5.4508 0.0000 0.0000
0.0000 4.7159 0.0000
-2.4930 0.0000 8.8481
Pr Hg Pd
2 4 4
Direct
0.1405 0.2500 0.2729 Pr
0.8595 0.7500 0.7271 Pr
0.2291 0.2500 0.6381 Hg
0.3811 0.7500 0.0608 Hg
0.6189 0.2500 0.9392 Hg
0.7709 0.7500 0.3619 Hg
0.1091 0.2500 0.9269 Pd
0.3392 0.7500 0.4908 Pd
0.6608 0.2500 0.5092 Pd
0.8909 0.7500 0.0731 Pd
```

Peak list (6 most intense, 2θ = 10–90°, sorted by position)
Position (°2θ)  intensity
29.49  41
29.74  32
35.91  72
38.17  60
39.30  100
39.77  27

=====

Dy5TlRu4: simulated X-ray diffraction stick pattern (CuKα), based on a DFT-relaxed cell (PBE, Alexandria).
Peak positions follow from Bragg's law for the DFT cell and can differ from measured ones.

Cell and atoms:
```
Dy5TlRu4
1.0
3.4115 0.0000 0.0000
0.0000 3.4115 0.0000
0.0000 0.0000 18.3550
Dy Tl Ru
5 1 4
Direct
0.0000 0.0000 0.0000 Dy
0.0000 0.0000 0.1836 Dy
0.0000 0.0000 0.3673 Dy
0.0000 0.0000 0.6327 Dy
0.0000 0.0000 0.8164 Dy
0.5000 0.5000 0.5000 Tl
0.5000 0.5000 0.0930 Ru
0.5000 0.5000 0.2812 Ru
0.5000 0.5000 0.7188 Ru
0.5000 0.5000 0.9070 Ru
```

Peak list (6 most intense, 2θ = 10–90°, sorted by position)
Position (°2θ)  intensity
32.71  14
35.94  100
37.27  65
39.57  19
53.74  23
66.35  33

=====

Zn2Ni: simulated X-ray diffraction stick pattern (CuKα), based on a DFT-relaxed cell (PBE, Alexandria).
Peak positions follow from Bragg's law for the DFT cell and can differ from measured ones.

Cell and atoms:
```
Zn2Ni
1.0
2.6632 0.0000 0.0000
0.0000 4.3500 0.0000
0.0000 0.0000 6.9874
Zn Ni
4 2
Direct
0.0000 0.0000 0.1872 Zn
0.0000 0.0000 0.8128 Zn
0.5000 0.5000 0.3128 Zn
0.5000 0.5000 0.6872 Zn
0.0000 0.5000 0.0000 Ni
0.5000 0.0000 0.5000 Ni
```

Peak list (6 most intense, 2θ = 10–90°, sorted by position)
Position (°2θ)  intensity
36.09  60
41.52  60
44.10  91
47.76  100
56.16  31
87.27  22

=====

NbTeH: simulated X-ray diffraction stick pattern (CuKα), based on a DFT-relaxed cell (PBE, Alexandria).
Peak positions follow from Bragg's law for the DFT cell and can differ from measured ones.

Cell and atoms:
```
NbTeH
1.0
7.5013 0.0000 0.0000
0.0000 7.5013 0.0000
0.0000 0.0000 3.6050
Nb Te H
4 4 4
Direct
0.1123 0.7954 0.0000 Nb
0.2046 0.1123 0.5000 Nb
0.7954 0.8877 0.5000 Nb
0.8877 0.2046 0.0000 Nb
0.2148 0.4086 0.0000 Te
0.4086 0.7852 0.5000 Te
0.5914 0.2148 0.5000 Te
0.7852 0.5914 0.0000 Te
0.0243 0.7495 0.5000 H
0.2505 0.0243 0.0000 H
0.7495 0.9757 0.0000 H
0.9757 0.2505 0.5000 H
```

Peak list (6 most intense, 2θ = 10–90°, sorted by position)
Position (°2θ)  intensity
27.45  52
36.59  100
37.93  61
42.31  20
50.65  31
64.98  24

=====

Cu3P2: simulated X-ray diffraction stick pattern (CuKα), based on a DFT-relaxed cell (PBE, Alexandria).
Peak positions follow from Bragg's law for the DFT cell and can differ from measured ones.

Cell and atoms:
```
Cu3P2
1.0
2.9070 0.0000 0.0000
-1.4535 2.5175 0.0000
0.0000 0.0000 27.2569
Cu P
9 6
Direct
0.0000 0.0000 0.0000 Cu
0.0000 0.0000 0.2027 Cu
0.0000 0.0000 0.7973 Cu
0.3333 0.6667 0.4640 Cu
0.3333 0.6667 0.6667 Cu
0.3333 0.6667 0.8694 Cu
0.6667 0.3333 0.1306 Cu
0.6667 0.3333 0.3333 Cu
0.6667 0.3333 0.5360 Cu
0.0000 0.0000 0.3997 P
0.0000 0.0000 0.6003 P
0.3333 0.6667 0.0663 P
0.3333 0.6667 0.2670 P
0.6667 0.3333 0.7330 P
0.6667 0.3333 0.9337 P
```

Peak list (6 most intense, 2θ = 10–90°, sorted by position)
Position (°2θ)  intensity
39.43  100
49.27  50
50.21  15
64.06  22
77.89  12
85.56  19